# Rb3Se2O8
Simulated X-ray diffraction stick pattern, Cu Kα (λ = 1.5418 Å). Input: a DFT-relaxed cell (GGA-PBE, the Materials Project).

Structural model:
a b c (Å): 6.158 6.158 8.528
angles (deg): 112.51 112.51 60.12
Element x y z (fractional)
Rb (0.000, 0.000, 0.000)
Rb (0.210, 0.200, 0.614)
Rb (0.800, 0.790, 0.386)
Se (0.418, 0.393, 0.228)
Se (0.607, 0.582, 0.772)
O (0.284, 0.715, 0.279)
O (0.285, 0.716, 0.721)
O (0.292, 0.279, 0.305)
O (0.365, 0.281, 0.009)
O (0.718, 0.260, 0.695)
O (0.719, 0.635, 0.991)
O (0.721, 0.708, 0.695)
O (0.740, 0.282, 0.305)

Main lines, sorted by position (2θ = 10–90°):
- 25.41°, I 81
- 25.98°, I 39
- 28.99°, I 100
- 38.59°, I 17
- 39.29°, I 31
- 43.13°, I 17
- 48.95°, I 12
- 49.20°, I 11
- 51.34°, I 12
- 60.12°, I 12